Diffraction record for Pr2Sm3Er8. The X-ray diffraction stick pattern is theoretical, not measured: it uses a PBE-relaxed structure and Cu Kα.

```
Pr2Sm3Er8
1.0
3.830 -10.347 0.000
3.830 10.347 0.000
0.000 0.000 5.553
Pr Sm Er
2 3 8
Direct
0.241 0.759 0.000
0.759 0.241 0.000
0.000 0.000 0.000
0.292 0.292 0.500
0.708 0.708 0.500
0.128 0.872 0.500
0.180 0.396 0.000
0.338 0.662 0.500
0.396 0.180 0.000
0.604 0.820 0.000
0.662 0.338 0.500
0.820 0.604 0.000
0.872 0.128 0.500
```

Peak list (12 most intense, 15° ≤ 2θ ≤ 90°, low angle first)
| two_theta | d [Å] | I/Imax |
| --- | --- | --- |
| 24.79 | 3.592 | 16.2 |
| 29.33 | 3.045 | 28.7 |
| 30.51 | 2.930 | 29.1 |
| 32.24 | 2.776 | 37.8 |
| 33.28 | 2.692 | 100.0 |
| 34.68 | 2.587 | 13.6 |
| 48.08 | 1.893 | 10.9 |
| 53.64 | 1.709 | 11.4 |
| 58.16 | 1.586 | 21.0 |
| 58.56 | 1.576 | 8.6 |
| 63.98 | 1.455 | 10.4 |
| 67.32 | 1.391 | 9.1 |

=====

Diffraction record for NaRh3F9. The X-ray diffraction stick pattern is theoretical, not measured: it uses a PBE-relaxed structure and Cu Kα.

```
NaRh3F9
1.0
5.354 0.000 0.000
0.000 7.659 0.000
-0.885 0.000 8.475
Na Rh F
2 6 18
Direct
0.032 0.250 0.424
0.968 0.750 0.576
0.000 0.000 0.000
0.000 0.500 0.000
0.462 0.002 0.685
0.462 0.498 0.685
0.538 0.502 0.315
0.538 0.998 0.315
0.124 0.250 0.977
0.146 0.562 0.793
0.146 0.938 0.793
0.257 0.550 0.470
0.257 0.950 0.470
0.320 0.250 0.653
0.339 0.568 0.112
0.339 0.932 0.112
0.398 0.250 0.299
0.602 0.750 0.701
0.661 0.068 0.888
0.661 0.432 0.888
0.680 0.750 0.347
0.743 0.050 0.530
0.743 0.450 0.530
0.854 0.062 0.207
0.854 0.438 0.207
0.876 0.750 0.023
```

Peak list (12 most intense, 15° ≤ 2θ ≤ 90°, low angle first)
| two_theta | d [Å] | I/Imax |
| --- | --- | --- |
| 18.74 | 4.736 | 28.4 |
| 20.60 | 4.311 | 71.1 |
| 23.23 | 3.829 | 100.0 |
| 25.47 | 3.497 | 74.0 |
| 28.24 | 3.160 | 29.1 |
| 31.24 | 2.863 | 45.5 |
| 31.67 | 2.825 | 32.1 |
| 34.74 | 2.582 | 32.0 |
| 41.30 | 2.186 | 21.8 |
| 47.49 | 1.915 | 22.4 |
| 55.29 | 1.662 | 25.0 |
| 59.45 | 1.555 | 53.4 |

=====

Diffraction record for SmDy2InN4. The X-ray diffraction stick pattern is theoretical, not measured: it uses a PBE-relaxed structure and Cu Kα.

```
SmDy2InN4
1.0
6.019 0.000 0.000
0.000 3.483 0.000
-2.125 0.000 5.668
Sm Dy In N
1 2 1 4
Direct
0.000 0.000 0.000
0.000 0.500 0.500
0.500 0.000 0.500
0.500 0.500 0.000
0.246 0.500 0.264
0.253 0.000 0.748
0.747 0.000 0.252
0.754 0.500 0.736
```

Peak list (12 most intense, 15° ≤ 2θ ≤ 90°, low angle first)
| two_theta | d [Å] | I/Imax |
| --- | --- | --- |
| 31.38 | 2.851 | 100.0 |
| 31.57 | 2.834 | 49.3 |
| 31.75 | 2.818 | 48.5 |
| 36.22 | 2.480 | 49.6 |
| 36.73 | 2.447 | 95.5 |
| 52.41 | 1.746 | 33.4 |
| 52.55 | 1.742 | 16.6 |
| 52.66 | 1.738 | 32.9 |
| 53.29 | 1.719 | 15.9 |
| 62.14 | 1.494 | 22.6 |
| 65.48 | 1.425 | 16.7 |
| 85.98 | 1.131 | 18.9 |

=====

Diffraction record for V12CrH7. The X-ray diffraction stick pattern is theoretical, not measured: it uses a PBE-relaxed structure and Cu Kα.

```
V12CrH7
1.0
4.855 2.803 2.326
-4.855 2.803 2.326
0.000 -5.606 2.326
V Cr H
12 1 7
Direct
0.037 0.111 0.348
0.111 0.348 0.037
0.191 0.579 0.739
0.261 0.809 0.421
0.348 0.037 0.111
0.421 0.261 0.809
0.579 0.739 0.191
0.652 0.963 0.889
0.739 0.191 0.579
0.809 0.421 0.261
0.889 0.652 0.963
0.963 0.889 0.652
0.500 0.500 0.500
0.000 0.000 0.000
0.164 0.463 0.391
0.391 0.164 0.463
0.463 0.391 0.164
0.537 0.609 0.836
0.609 0.836 0.537
0.836 0.537 0.609
```

Peak list (10 most intense, 15° ≤ 2θ ≤ 90°, low angle first)
| two_theta | d [Å] | I/Imax |
| --- | --- | --- |
| 38.72 | 2.326 | 39.2 |
| 40.79 | 2.212 | 100.0 |
| 46.86 | 1.939 | 67.9 |
| 67.00 | 1.397 | 20.6 |
| 69.85 | 1.347 | 17.8 |
| 80.16 | 1.197 | 11.5 |
| 82.84 | 1.165 | 20.9 |
| 83.06 | 1.163 | 3.6 |
| 84.18 | 1.150 | 10.0 |
| 88.38 | 1.106 | 9.0 |

=====

Diffraction record for Sr3ScAs3. The X-ray diffraction stick pattern is theoretical, not measured: it uses a PBE-relaxed structure and Cu Kα.

```
Sr3ScAs3
1.0
9.748 -3.498 0.000
9.748 3.498 0.000
0.000 0.000 12.770
Sr Sc As
12 4 12
Direct
0.010 0.350 0.866
0.150 0.490 0.634
0.156 0.844 0.844
0.344 0.656 0.344
0.350 0.010 0.134
0.490 0.150 0.366
0.510 0.850 0.634
0.650 0.990 0.866
0.656 0.344 0.656
0.844 0.156 0.156
0.850 0.510 0.366
0.990 0.650 0.134
0.087 0.087 0.500
0.413 0.413 0.000
0.587 0.587 0.000
0.913 0.913 0.500
0.058 0.622 0.378
0.122 0.558 0.878
0.223 0.777 0.602
0.277 0.723 0.102
0.378 0.942 0.378
0.442 0.878 0.878
0.558 0.122 0.122
0.622 0.058 0.622
0.723 0.277 0.898
0.777 0.223 0.398
0.878 0.442 0.122
0.942 0.378 0.622
```

Peak list (12 most intense, 15° ≤ 2θ ≤ 90°, low angle first)
| two_theta | d [Å] | I/Imax |
| --- | --- | --- |
| 24.91 | 3.575 | 19.4 |
| 25.46 | 3.498 | 39.5 |
| 27.45 | 3.249 | 67.0 |
| 27.96 | 3.191 | 100.0 |
| 32.27 | 2.774 | 16.7 |
| 33.80 | 2.652 | 16.8 |
| 37.79 | 2.381 | 43.4 |
| 38.16 | 2.359 | 44.4 |
| 39.57 | 2.277 | 63.9 |
| 43.60 | 2.076 | 18.9 |
| 47.65 | 1.909 | 22.7 |
| 50.40 | 1.811 | 16.6 |

=====

Diffraction record for SmEuDyTh. The X-ray diffraction stick pattern is theoretical, not measured: it uses a PBE-relaxed structure and Cu Kα.

```
SmEuDyTh
1.0
0.000 4.085 4.085
4.085 0.000 4.085
4.085 4.085 0.000
Sm Eu Dy Th
1 1 1 1
Direct
0.000 0.000 0.000
0.750 0.750 0.750
0.500 0.500 0.500
0.250 0.250 0.250
```

Peak list (12 most intense, 15° ≤ 2θ ≤ 90°, low angle first)
| two_theta | d [Å] | I/Imax |
| --- | --- | --- |
| 18.81 | 4.717 | 2.3 |
| 21.76 | 4.085 | 1.0 |
| 30.96 | 2.888 | 100.0 |
| 36.48 | 2.463 | 1.4 |
| 44.35 | 2.042 | 18.8 |
| 48.58 | 1.874 | 0.7 |
| 55.07 | 1.668 | 40.0 |
| 58.72 | 1.572 | 0.5 |
| 64.52 | 1.444 | 12.4 |
| 73.28 | 1.292 | 17.2 |
| 81.65 | 1.179 | 4.3 |
| 89.84 | 1.092 | 21.5 |

=====

Diffraction record for K3In2Pt2. The X-ray diffraction stick pattern is theoretical, not measured: it uses a PBE-relaxed structure and Cu Kα.

```
K3In2Pt2
1.0
6.747 0.000 0.000
0.000 9.105 0.000
0.000 0.000 14.304
K In Pt
12 8 8
Direct
0.126 0.111 0.096
0.126 0.111 0.404
0.126 0.389 0.596
0.126 0.389 0.904
0.324 0.709 0.750
0.324 0.791 0.250
0.676 0.209 0.750
0.676 0.291 0.250
0.874 0.611 0.096
0.874 0.611 0.404
0.874 0.889 0.596
0.874 0.889 0.904
0.227 0.071 0.750
0.227 0.429 0.250
0.420 0.750 0.000
0.420 0.750 0.500
0.580 0.250 0.000
0.580 0.250 0.500
0.773 0.571 0.750
0.773 0.929 0.250
0.387 0.018 0.584
0.387 0.018 0.916
0.387 0.482 0.084
0.387 0.482 0.416
0.613 0.518 0.584
0.613 0.518 0.916
0.613 0.982 0.084
0.613 0.982 0.416
```

Peak list (12 most intense, 15° ≤ 2θ ≤ 90°, low angle first)
| two_theta | d [Å] | I/Imax |
| --- | --- | --- |
| 17.50 | 5.069 | 84.5 |
| 18.08 | 4.908 | 51.7 |
| 19.50 | 4.552 | 41.0 |
| 28.91 | 3.089 | 23.7 |
| 31.82 | 2.812 | 21.1 |
| 32.35 | 2.768 | 27.4 |
| 34.01 | 2.636 | 100.0 |
| 34.56 | 2.596 | 30.6 |
| 41.87 | 2.157 | 28.6 |
| 42.82 | 2.112 | 34.5 |
| 44.98 | 2.016 | 27.2 |
| 45.69 | 1.986 | 33.3 |

=====

Diffraction record for Na3Sn5Pd6. The X-ray diffraction stick pattern is theoretical, not measured: it uses a PBE-relaxed structure and Cu Kα.

```
Na3Sn5Pd6
1.0
4.528 0.000 0.000
0.000 13.924 0.000
0.000 0.000 9.175
Na Sn Pd
6 10 12
Direct
0.250 0.070 0.247
0.250 0.430 0.247
0.250 0.750 0.322
0.750 0.250 0.678
0.750 0.570 0.753
0.750 0.930 0.753
0.250 0.095 0.634
0.250 0.405 0.634
0.250 0.640 0.012
0.250 0.750 0.700
0.250 0.860 0.012
0.750 0.140 0.988
0.750 0.250 0.300
0.750 0.360 0.988
0.750 0.595 0.366
0.750 0.905 0.366
0.250 0.044 0.914
0.250 0.250 0.459
0.250 0.250 0.887
0.250 0.456 0.914
0.250 0.586 0.530
0.250 0.914 0.530
0.750 0.086 0.470
0.750 0.414 0.470
0.750 0.544 0.086
0.750 0.750 0.113
0.750 0.750 0.541
0.750 0.956 0.086
```

Peak list (12 most intense, 15° ≤ 2θ ≤ 90°, low angle first)
| two_theta | d [Å] | I/Imax |
| --- | --- | --- |
| 19.35 | 4.588 | 72.3 |
| 21.89 | 4.061 | 80.6 |
| 33.86 | 2.647 | 98.2 |
| 37.78 | 2.381 | 51.5 |
| 37.93 | 2.372 | 30.2 |
| 38.05 | 2.365 | 48.7 |
| 39.22 | 2.297 | 64.5 |
| 39.81 | 2.264 | 100.0 |
| 40.08 | 2.250 | 30.3 |
| 40.55 | 2.224 | 51.6 |
| 42.92 | 2.107 | 31.0 |
| 44.77 | 2.025 | 36.0 |